The following is a simulated XRD peak list of TaTl4Ag. It was derived from a crystal structure in Alexandria, relaxed with PBE, using Cu Kα.
Intensities are scaled so that the largest is 100.

Crystal structure
```
TaTl4Ag
1.0
0.0000 4.3257 4.3257
4.3257 0.0000 4.3257
4.3257 4.3257 0.0000
Ta Tl Ag
1 4 1
Direct
0.0000 0.0000 0.0000
0.1251 0.6250 0.6250
0.6250 0.1251 0.6250
0.6250 0.6250 0.1251
0.6250 0.6250 0.6250
0.2500 0.2500 0.2500
```

Peak list (10 most intense, 2θ = 10–90°, low angle first)
- 2θ = 17.76°, rel. 17
- 2θ = 29.20°, rel. 18
- 2θ = 34.38°, rel. 100
- 2θ = 35.96°, rel. 51
- 2θ = 41.76°, rel. 10
- 2θ = 55.17°, rel. 35
- 2θ = 60.54°, rel. 32
- 2θ = 71.51°, rel. 12
- 2θ = 72.47°, rel. 21
- 2θ = 86.39°, rel. 23

=====

The following is a simulated XRD peak list of TaAg2W. It was derived from a crystal structure in Alexandria, relaxed with PBE, using Cu Kα.
Intensities are scaled so that the largest is 100.

Crystal structure
```
TaAg2W
1.0
1.6503 -2.2637 0.0000
1.6503 2.2637 0.0000
0.0000 0.0000 9.3388
Ta Ag W
1 2 1
Direct
0.0000 0.0000 0.0000
0.0000 0.0000 0.4874
0.5000 0.5000 0.7428
0.5000 0.5000 0.2346
```

Peak list (10 most intense, 2θ = 10–90°, low angle first)
- 2θ = 38.56°, rel. 25
- 2θ = 38.89°, rel. 100
- 2θ = 39.82°, rel. 24
- 2θ = 55.70°, rel. 9
- 2θ = 56.63°, rel. 17
- 2θ = 69.79°, rel. 9
- 2θ = 69.99°, rel. 16
- 2θ = 70.63°, rel. 9
- 2θ = 71.67°, rel. 16
- 2θ = 83.48°, rel. 11

=====

The following is a simulated XRD peak list of TaZnAg. It was derived from a crystal structure in Alexandria, relaxed with PBE, using Cu Kα.
Intensities are scaled so that the largest is 100.

Crystal structure
```
TaZnAg
1.0
4.5181 0.0000 0.0000
-2.2591 3.9128 0.0000
0.0000 0.0000 2.8245
Ta Zn Ag
1 1 1
Direct
0.0000 0.0000 0.0000
0.6667 0.3333 0.5000
0.3333 0.6667 0.5000
```

Peak list (10 most intense, 2θ = 10–90°, low angle first)
- 2θ = 22.73°, rel. 24
- 2θ = 39.34°, rel. 100
- 2θ = 39.91°, rel. 85
- 2θ = 46.41°, rel. 4
- 2θ = 57.29°, rel. 33
- 2θ = 66.17°, rel. 6
- 2θ = 72.09°, rel. 33
- 2θ = 72.47°, rel. 14
- 2θ = 80.15°, rel. 21
- 2θ = 86.08°, rel. 9

=====

The following is a simulated XRD peak list of ZrTaAg. It was derived from a crystal structure in Alexandria, relaxed with PBE, using Cu Kα.
Intensities are scaled so that the largest is 100.

Crystal structure
```
ZrTaAg
1.0
3.4347 0.0000 0.0000
0.0000 3.4347 0.0000
0.0000 0.0000 9.9311
Zr Ta Ag
2 2 2
Direct
0.2500 0.2500 0.2482
0.7500 0.7500 0.7518
0.2500 0.2500 0.5756
0.7500 0.7500 0.4244
0.2500 0.2500 0.9229
0.7500 0.7500 0.0771
```

Peak list (10 most intense, 2θ = 10–90°, low angle first)
- 2θ = 17.86°, rel. 6
- 2θ = 31.68°, rel. 3
- 2θ = 37.01°, rel. 54
- 2θ = 37.74°, rel. 100
- 2θ = 53.34°, rel. 21
- 2θ = 55.52°, rel. 8
- 2θ = 67.18°, rel. 36
- 2θ = 68.62°, rel. 16
- 2θ = 78.80°, rel. 8
- 2θ = 80.61°, rel. 10